(1)
Theoretical PXRD pattern
Compound: DyLu2Fe9
Radiation: Cu Kα (weighted mean of Kα1 and Kα2)
Structure: a crystal structure in OQMD, relaxed with GGA-PBE
Neutral-atom scattering factors, no anomalous dispersion.

Atomic structure:
```
DyLu2Fe9
1.0
2.5044 1.4459 7.9727
-2.5044 1.4459 7.9727
0.0000 -2.8919 7.9727
Dy Lu Fe
1 2 9
Direct
0.0000 0.0000 0.0000
0.1421 0.1421 0.1421
0.8579 0.8579 0.8579
0.0814 0.5829 0.5829
0.3328 0.3328 0.3328
0.4171 0.4171 0.9186
0.4171 0.9186 0.4171
0.5000 0.5000 0.5000
0.5829 0.0814 0.5829
0.5829 0.5829 0.0814
0.6672 0.6672 0.6672
0.9186 0.4171 0.4171
```

Top 10 peaks for 2θ from 10° to 90°, sorted by position:
2theta  Rel. int.
20.8  16
33.4  55
35.9  59
36.5  35
41.8  39
42.6  100
62.9  18
64.9  13
69.1  23
76.0  21

***

(2)
Theoretical PXRD pattern
Compound: Pr3GdZn12Ge6
Radiation: Cu Kα (weighted mean of Kα1 and Kα2)
Structure: a crystal structure in OQMD, relaxed with GGA-PBE
Neutral-atom scattering factors, no anomalous dispersion.

Atomic structure:
```
Pr3GdZn12Ge6
1.0
7.6693 0.0000 0.0000
0.0000 4.1006 0.0000
0.0000 0.0000 13.2851
Pr Gd Zn Ge
3 1 12 6
Direct
0.0000 0.0000 0.0000
0.0001 0.0000 0.3340
0.5005 0.0000 0.5015
0.5005 0.0000 0.8341
0.1443 0.5000 0.8117
0.1452 0.5000 0.5239
0.1899 0.0000 0.6689
0.2126 0.5000 0.1666
0.4060 0.0000 0.2614
0.4069 0.0000 0.0716
0.6439 0.5000 0.0226
0.6443 0.5000 0.3115
0.6893 0.0000 0.1674
0.7115 0.5000 0.6680
0.9032 0.0000 0.7618
0.9066 0.0000 0.5732
0.3095 0.5000 0.3583
0.3121 0.5000 0.9742
0.3837 0.5000 0.6702
0.8047 0.5000 0.8579
0.8094 0.5000 0.4767
0.8823 0.5000 0.1671
```

Top 10 peaks for 2θ from 10° to 90°, sorted by position:
2theta  Rel. int.
32.0  100
34.8  14
35.8  22
40.8  32
42.2  53
44.2  24
49.5  13
52.7  14
61.7  19
68.7  21

***

(3)
Theoretical PXRD pattern
Compound: HoReN3
Radiation: Cu Kα (weighted mean of Kα1 and Kα2)
Structure: a crystal structure in OQMD, relaxed with GGA-PBE
Neutral-atom scattering factors, no anomalous dispersion.

Atomic structure:
```
HoReN3
1.0
5.5684 -4.7941 0.0000
5.5684 4.7941 0.0000
-2.5139 0.0000 5.7519
Ho Re N
4 4 12
Direct
0.0927 0.9073 0.7500
0.2878 0.7122 0.2500
0.7122 0.2878 0.7500
0.9073 0.0927 0.2500
0.2045 0.3769 0.7845
0.3769 0.2045 0.2845
0.6231 0.7955 0.7155
0.7955 0.6231 0.2155
0.0046 0.2177 0.6613
0.1283 0.6287 0.8409
0.2177 0.0046 0.1613
0.3317 0.3671 0.0905
0.3671 0.3317 0.5905
0.3713 0.8717 0.6591
0.6287 0.1283 0.3409
0.6329 0.6683 0.4095
0.6683 0.6329 0.9095
0.7823 0.9954 0.8387
0.8717 0.3713 0.1591
0.9954 0.7823 0.3387
```

Top 10 peaks for 2θ from 10° to 90°, sorted by position:
2theta  Rel. int.
25.5  20
26.0  100
27.8  31
31.1  47
33.5  34
34.9  25
36.5  24
47.4  21
50.0  31
61.2  20

***

(4)
Theoretical PXRD pattern
Compound: Mo3N4
Radiation: Cu Kα (weighted mean of Kα1 and Kα2)
Structure: a crystal structure in OQMD, relaxed with GGA-PBE
Neutral-atom scattering factors, no anomalous dispersion.

Atomic structure:
```
Mo3N4
1.0
1.6885 0.9748 7.0820
-1.6885 0.9748 7.0820
0.0000 -1.9497 7.0820
Mo N
3 4
Direct
0.0000 0.0000 0.0000
0.2313 0.2313 0.2313
0.7687 0.7687 0.7687
0.1337 0.1337 0.1337
0.3796 0.3796 0.3796
0.6204 0.6204 0.6204
0.8663 0.8663 0.8663
```

Top 10 peaks for 2θ from 10° to 90°, sorted by position:
2theta  Rel. int.
30.9  42
31.7  24
35.0  100
37.3  80
38.1  35
46.2  63
54.3  65
65.4  31
66.3  17
68.3  37

***

(5)
Theoretical PXRD pattern
Compound: Sb3Au2Xe2F19
Radiation: Cu Kα (weighted mean of Kα1 and Kα2)
Structure: a crystal structure in OQMD, relaxed with GGA-PBE
Neutral-atom scattering factors, no anomalous dispersion.

Atomic structure:
```
Sb3Au2Xe2F19
1.0
6.2694 0.0000 0.0000
2.9904 7.6332 0.0000
1.6507 2.0596 8.4610
Sb Au Xe F
3 2 2 19
Direct
0.0000 0.0000 0.0000
0.2248 0.2494 0.3794
0.7752 0.7506 0.6206
0.3207 0.7216 0.3407
0.6793 0.2784 0.6593
0.3533 0.3929 0.8756
0.6467 0.6071 0.1244
0.0607 0.9646 0.2171
0.0886 0.7589 0.5529
0.1023 0.5064 0.3416
0.1143 0.7446 0.0269
0.1415 0.2775 0.1752
0.2610 0.2305 0.5924
0.3023 0.0051 0.9275
0.3201 0.9940 0.4192
0.4757 0.7453 0.7042
0.5000 0.5000 0.5000
0.5243 0.2547 0.2958
0.6799 0.0060 0.5808
0.6977 0.9949 0.0725
0.7390 0.7695 0.4076
0.8585 0.7225 0.8248
0.8857 0.2554 0.9731
0.8977 0.4936 0.6584
0.9114 0.2411 0.4471
0.9393 0.0354 0.7829
```

Top 10 peaks for 2θ from 10° to 90°, sorted by position:
2theta  Rel. int.
13.9  32
19.3  44
23.0  100
24.0  25
24.9  98
27.2  30
28.5  49
28.9  27
41.5  29
49.3  26

***

(6)
Theoretical PXRD pattern
Compound: Dy2Ho2CI3Br2
Radiation: Cu Kα (weighted mean of Kα1 and Kα2)
Structure: a crystal structure in OQMD, relaxed with GGA-PBE
Neutral-atom scattering factors, no anomalous dispersion.

Atomic structure:
```
Dy2Ho2CI3Br2
1.0
9.2515 -1.9484 0.0000
9.2515 1.9484 0.0000
-1.8085 0.0000 8.2674
Dy Ho C I Br
2 2 1 3 2
Direct
0.1329 0.1329 0.0681
0.8671 0.8671 0.9319
0.4995 0.4995 0.1900
0.5005 0.5005 0.8100
0.0000 0.0000 0.0000
0.0000 0.0000 0.5000
0.3294 0.3294 0.1837
0.6706 0.6706 0.8163
0.3429 0.3429 0.6767
0.6571 0.6571 0.3233
```

Top 10 peaks for 2θ from 10° to 90°, sorted by position:
2theta  Rel. int.
10.7  52
28.1  17
29.7  43
30.5  20
31.2  100
33.8  45
43.3  25
43.8  24
46.6  19
56.2  14

***

(7)
Theoretical PXRD pattern
Compound: Nd3Cu4Si2Sn2
Radiation: Cu Kα (weighted mean of Kα1 and Kα2)
Structure: a crystal structure in OQMD, relaxed with GGA-PBE
Neutral-atom scattering factors, no anomalous dispersion.

Atomic structure:
```
Nd3Cu4Si2Sn2
1.0
-2.2280 3.3638 7.3398
2.2280 -3.3638 7.3398
2.2280 3.3638 -7.3398
Nd Cu Si Sn
3 4 2 2
Direct
0.0000 0.0000 0.0000
0.3728 0.8728 0.5000
0.6272 0.1272 0.5000
0.0341 0.3474 0.6867
0.3393 0.6526 0.6867
0.6607 0.3474 0.3133
0.9659 0.6526 0.3133
0.3199 0.5000 0.8199
0.6801 0.5000 0.1801
0.2173 0.2173 0.0000
0.7827 0.7827 0.0000
```

Top 10 peaks for 2θ from 10° to 90°, sorted by position:
2theta  Rel. int.
26.5  19
33.3  30
33.9  61
34.3  100
38.2  19
40.5  33
44.4  13
53.4  16
60.4  14
69.7  13

***

(8)
Theoretical PXRD pattern
Compound: DyLu6Cu2Te2
Radiation: Cu Kα (weighted mean of Kα1 and Kα2)
Structure: a crystal structure in OQMD, relaxed with GGA-PBE
Neutral-atom scattering factors, no anomalous dispersion.

Atomic structure:
```
DyLu6Cu2Te2
1.0
-1.9520 7.5851 4.7176
1.9520 -7.5851 4.7176
1.9520 7.5851 -4.7176
Dy Lu Cu Te
1 6 2 2
Direct
0.0000 0.0000 0.0000
0.0635 0.3781 0.6854
0.0907 0.7359 0.3548
0.3810 0.7359 0.6452
0.4516 0.5840 0.8676
0.6928 0.3781 0.3146
0.7164 0.5840 0.1324
0.3084 0.0722 0.2362
0.8360 0.0722 0.7638
0.3399 0.3399 0.0000
0.7328 0.2328 0.5000
```

Top 10 peaks for 2θ from 10° to 90°, sorted by position:
2theta  Rel. int.
28.9  22
30.3  65
31.0  22
33.6  75
34.3  100
34.7  57
36.7  21
46.5  31
52.0  32
58.6  31

***

(9)
Theoretical PXRD pattern
Compound: CuAg2GeS4
Radiation: Cu Kα (weighted mean of Kα1 and Kα2)
Structure: a crystal structure in OQMD, relaxed with GGA-PBE
Neutral-atom scattering factors, no anomalous dispersion.

Atomic structure:
```
CuAg2GeS4
1.0
7.4480 0.0000 0.0000
0.0000 7.0127 0.0000
0.0000 0.0000 6.5300
Cu Ag Ge S
2 4 2 8
Direct
0.0000 0.1486 0.0000
0.5000 0.8514 0.5000
0.2416 0.3272 0.5165
0.2584 0.6728 0.0165
0.7416 0.6728 0.0165
0.7584 0.3272 0.5165
0.0000 0.8341 0.5045
0.5000 0.1659 0.0045
0.0000 0.1248 0.3528
0.0000 0.8525 0.8526
0.2491 0.3240 0.9044
0.2509 0.6760 0.4044
0.5000 0.1475 0.3526
0.5000 0.8752 0.8528
0.7491 0.6760 0.4044
0.7509 0.3240 0.9044
```

Top 10 peaks for 2θ from 10° to 90°, sorted by position:
2theta  Rel. int.
25.4  33
27.1  69
27.3  72
28.9  56
30.4  100
38.9  27
45.8  54
49.3  31
50.3  55
54.2  48

***

(10)
Theoretical PXRD pattern
Compound: B4PbAu
Radiation: Cu Kα (weighted mean of Kα1 and Kα2)
Structure: a crystal structure in OQMD, relaxed with GGA-PBE
Neutral-atom scattering factors, no anomalous dispersion.

Atomic structure:
```
B4PbAu
1.0
3.0974 0.0000 0.0000
-1.5487 2.6825 0.0000
0.0000 0.0000 8.9224
B Pb Au
4 1 1
Direct
0.3333 0.6667 0.2197
0.3333 0.6667 0.7803
0.6667 0.3333 0.2197
0.6667 0.3333 0.7803
0.0000 0.0000 0.5000
0.0000 0.0000 0.0000
```

Top 10 peaks for 2θ from 10° to 90°, sorted by position:
2theta  Rel. int.
19.9  68
33.4  66
39.2  100
40.4  16
53.4  37
59.7  16
63.6  20
72.7  16
73.8  16
74.6  16

***

(11)
Theoretical PXRD pattern
Compound: CdH14C20N2O6F4
Radiation: Cu Kα (weighted mean of Kα1 and Kα2)
Structure: a crystal structure in OQMD, relaxed with GGA-PBE
Neutral-atom scattering factors, no anomalous dispersion.

Atomic structure:
```
CdH14C20N2O6F4
1.0
6.3427 0.0000 0.0000
0.7896 7.8026 0.0000
2.9723 1.8118 9.1670
Cd H C N O F
1 14 20 2 6 4
Direct
0.0000 0.0000 0.0000
0.0739 0.0189 0.6669
0.0797 0.6507 0.3679
0.0855 0.8281 0.4935
0.1934 0.3643 0.9762
0.1929 0.5747 0.1320
0.3871 0.8498 0.0774
0.4358 0.9106 0.9073
0.5642 0.0894 0.0927
0.6129 0.1502 0.9226
0.8071 0.4253 0.8680
0.8066 0.6357 0.0238
0.9145 0.1719 0.5065
0.9203 0.3493 0.6321
0.9261 0.9811 0.3331
0.0123 0.8874 0.7056
0.0175 0.7798 0.6102
0.0351 0.5181 0.4264
0.0520 0.3925 0.3342
0.1338 0.4439 0.1822
0.1353 0.3271 0.0943
0.3868 0.2024 0.7396
0.4527 0.3554 0.6152
0.4579 0.5218 0.6416
0.4938 0.3355 0.4723
0.5062 0.6645 0.5277
0.5421 0.4782 0.3584
0.5473 0.6446 0.3848
0.6132 0.7976 0.2604
0.8647 0.6729 0.9057
0.8662 0.5561 0.8178
0.9480 0.6075 0.6658
0.9649 0.4819 0.5736
0.9825 0.2202 0.3898
0.9877 0.1126 0.2944
0.0606 0.1650 0.1486
0.9394 0.8350 0.8514
0.1797 0.1917 0.7950
0.3427 0.8317 0.9931
0.4610 0.8964 0.2243
0.5390 0.1036 0.7757
0.6573 0.1683 0.0069
0.8203 0.8083 0.2050
0.4135 0.5460 0.7805
0.4780 0.1763 0.4442
0.5220 0.8237 0.5558
0.5865 0.4540 0.2195
```

Top 10 peaks for 2θ from 10° to 90°, sorted by position:
2theta  Rel. int.
13.6  86
15.0  100
16.5  95
19.1  48
20.5  83
23.4  32
23.7  33
29.6  71
31.8  100
32.9  36